[1]
Computed X-ray powder pattern of TbErCl6 for Cu Kα, 1.54184 Å, from DFT lattice parameters and positions (GGA-PBE).

Most intense lines, 2θ = 5–70°, in order of rising 2θ:
14.71°, I = 90; 15.76°, I = 45; 17.88°, I = 31; 26.51°, I = 62; 32.83°, I = 100; 48.42°, I = 28

Crystal structure
a = 6.850 Å, b = 6.850 Å, c = 6.445 Å
α = 100.25°, β = 100.25°, γ = 120.14°
Atoms (fractional coordinates):
Tb: 0.000 0.000 0.000
Er: 0.669 0.331 0.000
Cl: 0.056 0.391 0.245
Cl: 0.259 0.230 0.758
Cl: 0.419 0.105 0.241
Cl: 0.609 0.944 0.755
Cl: 0.770 0.741 0.242
Cl: 0.895 0.581 0.759


[2]
Computed X-ray powder pattern of IrCl4F6 for Cu Kα, 1.54184 Å, from DFT lattice parameters and positions (GGA-PBE).

Most intense lines, 2θ = 5–70°, in order of rising 2θ:
15.30°, I = 100; 17.41°, I = 47; 22.93°, I = 64; 24.43°, I = 65; 25.13°, I = 51; 29.19°, I = 62

Crystal structure
a = 4.949 Å, b = 10.189 Å, c = 7.062 Å
α = 90.00°, β = 94.40°, γ = 90.00°
Atoms (fractional coordinates):
Ir: 0.000 0.000 0.000
Ir: 0.000 0.500 0.500
Cl: 0.235 0.137 0.537
Cl: 0.235 0.363 0.037
Cl: 0.459 0.651 0.122
Cl: 0.459 0.849 0.622
Cl: 0.541 0.151 0.378
Cl: 0.541 0.349 0.878
Cl: 0.765 0.637 0.963
Cl: 0.765 0.863 0.463
F: 0.105 0.648 0.357
F: 0.105 0.852 0.857
F: 0.156 0.581 0.725
F: 0.156 0.919 0.225
F: 0.325 0.088 0.961
F: 0.325 0.412 0.461
F: 0.675 0.588 0.539
F: 0.675 0.912 0.039
F: 0.844 0.081 0.775
F: 0.844 0.419 0.275
F: 0.895 0.148 0.143
F: 0.895 0.352 0.643


[3]
Computed X-ray powder pattern of ReIrClF5 for Cu Kα, 1.54184 Å, from DFT lattice parameters and positions (GGA-PBE).

Most intense lines, 2θ = 5–70°, in order of rising 2θ:
15.82°, I = 100; 19.52°, I = 19; 22.48°, I = 17; 22.81°, I = 55; 27.88°, I = 45; 39.60°, I = 23

Crystal structure
a = 5.598 Å, b = 7.797 Å, c = 5.618 Å
α = 90.00°, β = 90.28°, γ = 90.00°
Atoms (fractional coordinates):
Re: 0.013 0.250 0.167
Re: 0.987 0.750 0.833
Ir: 0.121 0.250 0.795
Ir: 0.879 0.750 0.205
Cl: 0.496 0.750 0.220
Cl: 0.504 0.250 0.780
F: 0.119 0.750 0.469
F: 0.217 0.081 0.296
F: 0.217 0.419 0.296
F: 0.228 0.582 0.847
F: 0.228 0.918 0.847
F: 0.772 0.082 0.153
F: 0.772 0.418 0.153
F: 0.783 0.581 0.704
F: 0.783 0.919 0.704
F: 0.881 0.250 0.531


[4]
Computed X-ray powder pattern of NbNCl2F6 for Cu Kα, 1.54184 Å, from DFT lattice parameters and positions (GGA-PBE).

Most intense lines, 2θ = 5–70°, in order of rising 2θ:
20.64°, I = 100; 24.70°, I = 60; 24.88°, I = 65; 28.11°, I = 62; 30.04°, I = 41; 44.58°, I = 72

Crystal structure
a = 7.187 Å, b = 7.187 Å, c = 10.774 Å
α = 90.00°, β = 90.00°, γ = 95.13°
Atoms (fractional coordinates):
Nb: 0.197 0.803 0.934
Nb: 0.303 0.697 0.434
Nb: 0.697 0.303 0.566
Nb: 0.803 0.197 0.066
N: 0.211 0.289 0.750
N: 0.289 0.211 0.250
N: 0.711 0.789 0.750
N: 0.789 0.711 0.250
Cl: 0.132 0.217 0.356
Cl: 0.217 0.132 0.644
Cl: 0.283 0.368 0.144
Cl: 0.368 0.283 0.856
Cl: 0.632 0.717 0.144
Cl: 0.717 0.632 0.856
Cl: 0.783 0.868 0.356
Cl: 0.868 0.783 0.644
F: 0.003 0.690 0.040
F: 0.029 0.971 0.865
F: 0.120 0.621 0.311
F: 0.121 0.620 0.811
F: 0.134 0.866 0.508
F: 0.190 0.503 0.540
F: 0.310 0.997 0.040
F: 0.366 0.634 0.008
F: 0.379 0.880 0.311
F: 0.380 0.879 0.811
F: 0.471 0.529 0.365
F: 0.497 0.810 0.540
F: 0.503 0.190 0.460
F: 0.529 0.471 0.635
F: 0.620 0.121 0.189
F: 0.621 0.120 0.689
F: 0.634 0.366 0.992
F: 0.690 0.003 0.960
F: 0.810 0.497 0.460
F: 0.866 0.134 0.492
F: 0.879 0.380 0.189
F: 0.880 0.379 0.689
F: 0.971 0.029 0.135
F: 0.997 0.310 0.960


[5]
Computed X-ray powder pattern of NbSe2SN2ClF6 for Cu Kα, 1.54184 Å, from DFT lattice parameters and positions (GGA-PBE).

Most intense lines, 2θ = 5–70°, in order of rising 2θ:
17.97°, I = 59; 19.53°, I = 100; 20.37°, I = 69; 21.77°, I = 58; 25.52°, I = 54; 26.59°, I = 65

Crystal structure
a = 10.049 Å, b = 7.897 Å, c = 12.808 Å
α = 90.00°, β = 119.80°, γ = 90.00°
Atoms (fractional coordinates):
Nb: 0.226 0.185 0.318
Nb: 0.226 0.315 0.818
Nb: 0.774 0.685 0.182
Nb: 0.774 0.815 0.682
Se: 0.307 0.675 0.522
Se: 0.307 0.825 0.022
Se: 0.325 0.588 0.146
Se: 0.325 0.912 0.646
Se: 0.675 0.088 0.354
Se: 0.675 0.412 0.854
Se: 0.693 0.175 0.978
Se: 0.693 0.325 0.478
S: 0.039 0.726 0.548
S: 0.039 0.774 0.048
S: 0.961 0.226 0.952
S: 0.961 0.274 0.452
N: 0.123 0.615 0.499
N: 0.123 0.885 0.999
N: 0.134 0.611 0.118
N: 0.134 0.889 0.618
N: 0.866 0.111 0.382
N: 0.866 0.389 0.882
N: 0.877 0.115 0.001
N: 0.877 0.385 0.501
Cl: 0.467 0.697 0.334
Cl: 0.467 0.803 0.834
Cl: 0.533 0.197 0.166
Cl: 0.533 0.303 0.666
F: 0.014 0.243 0.240
F: 0.014 0.257 0.740
F: 0.197 0.536 0.750
F: 0.197 0.964 0.250
F: 0.212 0.093 0.452
F: 0.212 0.407 0.952
F: 0.244 0.228 0.685
F: 0.244 0.272 0.185
F: 0.281 0.095 0.895
F: 0.281 0.405 0.395
F: 0.449 0.139 0.405
F: 0.449 0.361 0.905
F: 0.551 0.639 0.095
F: 0.551 0.861 0.595
F: 0.719 0.595 0.605
F: 0.719 0.905 0.105
F: 0.756 0.728 0.815
F: 0.756 0.772 0.315
F: 0.788 0.593 0.048
F: 0.788 0.907 0.548
F: 0.803 0.036 0.750
F: 0.803 0.464 0.250
F: 0.986 0.743 0.260
F: 0.986 0.757 0.760


[6]
Computed X-ray powder pattern of ReNClF5 for Cu Kα, 1.54184 Å, from DFT lattice parameters and positions (GGA-PBE).

Most intense lines, 2θ = 5–70°, in order of rising 2θ:
18.74°, I = 100; 22.81°, I = 53; 27.00°, I = 56; 27.10°, I = 77; 30.04°, I = 43; 42.79°, I = 44

Crystal structure
a = 4.592 Å, b = 7.796 Å, c = 5.961 Å
α = 90.00°, β = 90.27°, γ = 90.00°
Atoms (fractional coordinates):
Re: 0.034 0.250 0.205
Re: 0.966 0.750 0.795
N: 0.238 0.250 0.960
N: 0.762 0.750 0.040
Cl: 0.436 0.250 0.750
Cl: 0.564 0.750 0.250
F: 0.186 0.750 0.518
F: 0.237 0.584 0.893
F: 0.237 0.916 0.893
F: 0.249 0.077 0.347
F: 0.249 0.423 0.347
F: 0.751 0.577 0.653
F: 0.751 0.923 0.653
F: 0.763 0.084 0.107
F: 0.763 0.416 0.107
F: 0.814 0.250 0.482


[7]
Computed X-ray powder pattern of NbCl3F2 for Cu Kα, 1.54184 Å, from DFT lattice parameters and positions (GGA-PBE).

Most intense lines, 2θ = 5–70°, in order of rising 2θ:
14.55°, I = 100; 20.12°, I = 68; 20.38°, I = 70; 25.55°, I = 48; 28.79°, I = 59; 42.21°, I = 44

Crystal structure
a = 9.491 Å, b = 9.491 Å, c = 9.491 Å
α = 97.76°, β = 97.76°, γ = 136.89°
Atoms (fractional coordinates):
Nb: 0.504 0.284 0.316
Nb: 0.716 0.032 0.219
Nb: 0.812 0.496 0.781
Nb: 0.968 0.188 0.684
Cl: 0.042 0.396 0.270
Cl: 0.054 0.028 0.607
Cl: 0.114 0.295 0.940
Cl: 0.126 0.772 0.730
Cl: 0.228 0.958 0.354
Cl: 0.356 0.174 0.060
Cl: 0.420 0.446 0.393
Cl: 0.554 0.946 0.974
Cl: 0.604 0.874 0.646
Cl: 0.705 0.644 0.818
Cl: 0.826 0.886 0.182
Cl: 0.972 0.580 0.026
F: 0.216 0.466 0.670
F: 0.454 0.784 0.250
F: 0.534 0.205 0.750
F: 0.615 0.160 0.284
F: 0.669 0.385 0.545
F: 0.795 0.546 0.330
F: 0.840 0.124 0.455
F: 0.876 0.331 0.716


[8]
Computed X-ray powder pattern of NdClF2 for Cu Kα, 1.54184 Å, from DFT lattice parameters and positions (GGA-PBE).

Most intense lines, 2θ = 5–70°, in order of rising 2θ:
17.84°, I = 96; 25.27°, I = 54; 27.75°, I = 100; 37.93°, I = 85; 46.08°, I = 49; 53.34°, I = 48

Crystal structure
a = 5.335 Å, b = 5.335 Å, c = 7.049 Å
α = 90.00°, β = 90.00°, γ = 137.40°
Atoms (fractional coordinates):
Nd: 0.237 0.763 0.750
Nd: 0.763 0.237 0.250
Cl: 0.048 0.952 0.250
Cl: 0.952 0.048 0.750
F: 0.325 0.675 0.065
F: 0.325 0.675 0.435
F: 0.675 0.325 0.565
F: 0.675 0.325 0.935